AcSmSi4: calculated powder diffraction line list (Cu Kα X-rays), based on DFT lattice parameters and positions (GGA-PBE).

Structure:
```
AcSmSi4
1.0
8.0286 0.0000 0.0000
0.0000 15.5449 0.0000
0.0000 0.0000 4.3409
Ac Sm Si
4 4 16
direct
0.1282 0.1507 0.0000
0.3718 0.6507 0.0000
0.6282 0.3493 0.0000
0.8718 0.8493 0.0000
0.1352 0.4112 0.0000
0.3648 0.9112 0.0000
0.6352 0.0888 0.0000
0.8648 0.5888 0.0000
0.0143 0.6950 0.5000
0.1181 0.9526 0.5000
0.1279 0.5480 0.5000
0.2128 0.8030 0.5000
0.2872 0.3030 0.5000
0.3721 0.0480 0.5000
0.3819 0.4526 0.5000
0.4857 0.1950 0.5000
0.5143 0.8050 0.5000
0.6181 0.5474 0.5000
0.6279 0.9520 0.5000
0.7128 0.6970 0.5000
0.7872 0.1970 0.5000
0.8721 0.4520 0.5000
0.8819 0.0474 0.5000
0.9857 0.3050 0.5000
```

The 10 most intense peaks (10 to 90 degrees two-theta), sorted by position:
2θ (°)	I/Imax
20.44	44.5
22.88	59.9
25.46	15.1
28.12	14.9
29.05	21.3
30.88	100.0
32.88	28.3
35.03	33.1
41.61	19.6
48.01	17.6

Ac7SiSn2: calculated powder diffraction line list (Cu Kα X-rays), based on DFT lattice parameters and positions (GGA-PBE).

Structure:
```
Ac7SiSn2
1.0
0.0000 6.0147 6.0147
6.0147 0.0000 6.0147
6.0147 6.0147 0.0000
Ac Si Sn
7 1 2
direct
0.0000 0.0000 0.0000
0.2599 0.2599 0.7401
0.2599 0.7401 0.2599
0.2599 0.7401 0.7401
0.7401 0.2599 0.2599
0.7401 0.2599 0.7401
0.7401 0.7401 0.2599
0.5000 0.5000 0.5000
0.2500 0.2500 0.2500
0.7500 0.7500 0.7500
```

The 10 most intense peaks (10 to 90 degrees two-theta), sorted by position:
2θ (°)	I/Imax
14.73	32.3
25.65	100.0
29.71	99.2
33.31	17.3
42.51	75.4
50.31	48.1
52.72	26.8
67.93	19.2
69.95	34.2
77.79	25.3

Ac8SiSn5: calculated powder diffraction line list (Cu Kα X-rays), based on DFT lattice parameters and positions (GGA-PBE).

Structure:
```
Ac8SiSn5
1.0
-5.0546 5.0546 5.0792
5.0546 -5.0546 5.0792
5.0546 5.0546 -5.0792
Ac Si Sn
8 1 5
direct
0.1126 0.2382 0.7420
0.1235 0.7334 0.7488
0.2666 0.0154 0.3901
0.4962 0.3706 0.2580
0.6253 0.8765 0.6099
0.6294 0.8874 0.1256
0.7618 0.5038 0.8744
0.9846 0.3747 0.2512
0.7500 0.2500 0.5000
0.0000 0.0000 0.0000
0.2508 0.6242 0.1268
0.3758 0.5026 0.6266
0.4974 0.1240 0.8732
0.8760 0.7492 0.3734
```

The 10 most intense peaks (10 to 90 degrees two-theta), sorted by position:
2θ (°)	I/Imax
21.49	21.4
24.88	22.4
27.78	46.5
27.90	100.0
33.10	96.6
43.84	21.9
45.61	17.0
45.73	37.3
56.05	24.9
59.09	16.9

Ac3SiSn: calculated powder diffraction line list (Cu Kα X-rays), based on DFT lattice parameters and positions (GGA-PBE).

Structure:
```
Ac3SiSn
1.0
4.8390 0.0000 0.0000
0.0000 7.5399 0.0000
0.0000 0.0000 10.1476
Ac Si Sn
6 2 2
direct
0.2500 0.0157 0.1599
0.2500 0.2500 0.5756
0.2500 0.4843 0.1599
0.7500 0.5157 0.8401
0.7500 0.7500 0.4244
0.7500 0.9843 0.8401
0.2500 0.2500 0.8927
0.7500 0.7500 0.1073
0.2500 0.7500 0.6495
0.7500 0.2500 0.3505
```

The 10 most intense peaks (10 to 90 degrees two-theta), sorted by position:
2θ (°)	I/Imax
25.20	52.4
25.44	100.0
31.34	90.8
35.66	23.9
37.16	28.2
40.38	15.6
45.43	22.6
47.08	18.8
52.45	16.4
55.35	22.7

Ac4SiSn: calculated powder diffraction line list (Cu Kα X-rays), based on DFT lattice parameters and positions (GGA-PBE).

Structure:
```
Ac4SiSn
1.0
2.7275 1.5747 9.0239
-2.7275 1.5747 9.0239
0.0000 -3.1494 9.0239
Ac Si Sn
4 1 1
direct
0.1195 0.1195 0.1195
0.3706 0.3706 0.3706
0.6294 0.6294 0.6294
0.8805 0.8805 0.8805
0.0000 0.0000 0.0000
0.5000 0.5000 0.5000
```

The 10 most intense peaks (10 to 90 degrees two-theta), sorted by position:
2θ (°)	I/Imax
22.96	100.0
32.55	81.3
32.84	84.0
40.45	23.7
46.91	30.1
52.65	19.3
53.04	22.1
58.44	31.7
58.62	16.6
78.24	13.9

Ac8Si2Sn: calculated powder diffraction line list (Cu Kα X-rays), based on DFT lattice parameters and positions (GGA-PBE).

Structure:
```
Ac8Si2Sn
1.0
4.6779 -7.2299 0.0000
4.6779 7.2299 0.0000
-1.2427 0.0000 6.1320
Ac Si Sn
8 2 1
direct
0.0710 0.3244 0.6165
0.2456 0.7544 0.0000
0.3244 0.0710 0.6165
0.3790 0.3790 0.2078
0.6210 0.6210 0.7922
0.6756 0.9290 0.3835
0.7544 0.2456 0.0000
0.9290 0.6756 0.3835
0.3111 0.6889 0.5000
0.6889 0.3111 0.5000
0.0000 0.0000 0.0000
```

The 10 most intense peaks (10 to 90 degrees two-theta), sorted by position:
2θ (°)	I/Imax
24.29	39.6
25.06	27.8
26.49	100.0
28.67	72.5
29.48	50.0
30.61	47.1
31.52	53.0
31.71	28.7
46.17	26.0
51.82	36.1

SrAc4Si4: calculated powder diffraction line list (Cu Kα X-rays), based on DFT lattice parameters and positions (GGA-PBE).

Structure:
```
SrAc4Si4
1.0
9.6153 0.0000 0.0000
0.0000 9.6153 0.0000
0.0000 0.0000 6.4618
Sr Ac Si
2 8 8
direct
0.2500 0.2500 0.2500
0.7500 0.7500 0.7500
0.0686 0.6605 0.1134
0.1605 0.9314 0.6134
0.3395 0.5686 0.6134
0.4314 0.8395 0.1134
0.5686 0.1605 0.8866
0.6605 0.4314 0.3866
0.8395 0.0686 0.3866
0.9314 0.3395 0.8866
0.0127 0.6084 0.5975
0.1084 0.9873 0.0975
0.3916 0.5127 0.0975
0.4873 0.8916 0.5975
0.5127 0.1084 0.4025
0.6084 0.4873 0.9025
0.8916 0.0127 0.9025
0.9873 0.3916 0.4025
```

The 10 most intense peaks (10 to 90 degrees two-theta), sorted by position:
2θ (°)	I/Imax
13.02	31.6
18.95	31.7
23.06	35.2
24.87	100.0
29.16	66.5
29.37	96.8
29.69	35.5
32.55	38.7
42.02	37.9
44.03	34.7

SrAc2Si: calculated powder diffraction line list (Cu Kα X-rays), based on DFT lattice parameters and positions (GGA-PBE).

Structure:
```
SrAc2Si
1.0
4.3793 0.0000 0.0000
-2.1896 3.7926 0.0000
0.0000 0.0000 32.8521
Sr Ac Si
3 6 3
direct
0.0000 0.0000 0.0000
0.3333 0.6667 0.6667
0.6667 0.3333 0.3333
0.0000 0.0000 0.2213
0.0000 0.0000 0.4461
0.3333 0.6667 0.1128
0.3333 0.6667 0.8879
0.6667 0.3333 0.5546
0.6667 0.3333 0.7794
0.0000 0.0000 0.8341
0.3333 0.6667 0.5007
0.6667 0.3333 0.1674
```

The 10 most intense peaks (10 to 90 degrees two-theta), sorted by position:
2θ (°)	I/Imax
23.61	43.4
24.39	45.4
25.88	92.1
27.15	100.0
32.13	33.7
41.23	44.3
43.01	32.3
48.48	44.6
50.04	27.4
66.75	37.5

Sr2AcSi6: calculated powder diffraction line list (Cu Kα X-rays), based on DFT lattice parameters and positions (GGA-PBE).

Structure:
```
Sr2AcSi6
1.0
7.2061 0.0000 0.0000
-3.6031 6.2407 0.0000
0.0000 0.0000 4.6386
Sr Ac Si
2 1 6
direct
0.3333 0.6667 0.0000
0.6667 0.3333 0.0000
0.0000 0.0000 0.0000
0.0000 0.3333 0.5000
0.0000 0.6667 0.5000
0.3333 0.0000 0.5000
0.3333 0.3333 0.5000
0.6667 0.0000 0.5000
0.6667 0.6667 0.5000
```

The 10 most intense peaks (10 to 90 degrees two-theta), sorted by position:
2θ (°)	I/Imax
14.19	23.0
23.90	14.3
24.71	36.8
31.44	100.0
43.50	28.0
46.57	14.2
54.65	20.8
59.71	21.9
65.69	17.2
72.31	18.3

Ac3TbSi6: calculated powder diffraction line list (Cu Kα X-rays), based on DFT lattice parameters and positions (GGA-PBE).

Structure:
```
Ac3TbSi6
1.0
6.0849 3.5131 3.9139
-6.0849 3.5131 3.9139
0.0000 -7.0263 3.9139
Ac Tb Si
6 2 12
direct
0.1881 0.7500 0.3119
0.2500 0.6881 0.8119
0.3119 0.1881 0.7500
0.6881 0.8119 0.2500
0.7500 0.3119 0.1881
0.8119 0.2500 0.6881
0.0000 0.0000 0.0000
0.5000 0.5000 0.5000
0.0189 0.0933 0.3907
0.0933 0.3907 0.0189
0.1093 0.4067 0.4811
0.3907 0.0189 0.0933
0.4067 0.4811 0.1093
0.4811 0.1093 0.4067
0.5189 0.8907 0.5933
0.5933 0.5189 0.8907
0.6093 0.9811 0.9067
0.8907 0.5933 0.5189
0.9067 0.6093 0.9811
0.9811 0.9067 0.6093
```

The 10 most intense peaks (10 to 90 degrees two-theta), sorted by position:
2θ (°)	I/Imax
17.29	51.4
22.67	27.7
23.58	31.0
27.07	81.5
29.36	39.7
31.54	100.0
34.27	68.4
34.99	73.1
45.76	32.8
50.68	48.0

AcTbSi4: calculated powder diffraction line list (Cu Kα X-rays), based on DFT lattice parameters and positions (GGA-PBE).

Structure:
```
AcTbSi4
1.0
8.0047 0.0000 0.0000
0.0000 15.4826 0.0000
0.0000 0.0000 4.2699
Ac Tb Si
4 4 16
direct
0.1276 0.1507 0.0000
0.3724 0.6507 0.0000
0.6276 0.3493 0.0000
0.8724 0.8493 0.0000
0.1344 0.4115 0.0000
0.3656 0.9115 0.0000
0.6344 0.0885 0.0000
0.8656 0.5885 0.0000
0.0150 0.6945 0.5000
0.1200 0.9532 0.5000
0.1267 0.5475 0.5000
0.2136 0.8035 0.5000
0.2864 0.3035 0.5000
0.3733 0.0475 0.5000
0.3800 0.4532 0.5000
0.4850 0.1945 0.5000
0.5150 0.8055 0.5000
0.6200 0.5468 0.5000
0.6267 0.9525 0.5000
0.7136 0.6965 0.5000
0.7864 0.1965 0.5000
0.8733 0.4525 0.5000
0.8800 0.0468 0.5000
0.9850 0.3055 0.5000
```

The 10 most intense peaks (10 to 90 degrees two-theta), sorted by position:
2θ (°)	I/Imax
20.80	32.6
22.96	62.9
25.56	16.2
28.22	16.5
29.35	21.3
31.18	100.0
33.18	29.2
35.32	35.2
42.35	28.6
48.70	17.9

Ac3SiTe: calculated powder diffraction line list (Cu Kα X-rays), based on DFT lattice parameters and positions (GGA-PBE).

Structure:
```
Ac3SiTe
1.0
3.9196 2.2630 7.6205
-3.9196 2.2630 7.6205
0.0000 -4.5259 7.6205
Ac Si Te
6 2 2
direct
0.0051 0.3174 0.6775
0.1703 0.8657 0.4813
0.3174 0.6775 0.0051
0.4813 0.1703 0.8657
0.6775 0.0051 0.3174
0.8657 0.4813 0.1703
0.0828 0.0828 0.0828
0.2579 0.2579 0.2579
0.4238 0.4238 0.4238
0.7525 0.7525 0.7525
```

The 10 most intense peaks (10 to 90 degrees two-theta), sorted by position:
2θ (°)	I/Imax
23.35	15.5
25.56	100.0
32.78	36.7
39.84	28.7
42.40	24.9
46.68	13.8
47.93	17.4
52.51	10.1
63.87	14.1
64.03	13.7

AcTiSi2: calculated powder diffraction line list (Cu Kα X-rays), based on DFT lattice parameters and positions (GGA-PBE).

Structure:
```
AcTiSi2
1.0
4.3127 0.0000 0.0000
-2.1564 3.7349 0.0000
0.0000 0.0000 17.1025
Ac Ti Si
3 3 6
direct
0.0000 0.0000 0.0000
0.3333 0.6667 0.6667
0.6667 0.3333 0.3333
0.0000 0.0000 0.5000
0.3333 0.6667 0.1667
0.6667 0.3333 0.8333
0.0000 0.0000 0.2160
0.0000 0.0000 0.7840
0.3333 0.6667 0.4506
0.3333 0.6667 0.8827
0.6667 0.3333 0.1173
0.6667 0.3333 0.5494
```

The 10 most intense peaks (10 to 90 degrees two-theta), sorted by position:
2θ (°)	I/Imax
15.54	32.9
24.39	69.7
26.03	81.2
31.38	23.3
31.81	100.0
35.59	39.5
41.89	53.0
49.09	33.1
53.27	31.9
53.55	22.9